Diffraction record for Y2Ga5Au3. The XRD peak list is simulated, not measured: it uses the GGA-PBE geometry in Alexandria and Cu Ka.
Intensities are scaled so that the largest is 100.

Top 12 peaks for 5° ≤ 2θ ≤ 70°, in order of falling intensity:
index	d [Å]	I (rel.)
1 3 2	2.617	100
2 0 0	2.211	52
1 7 1	2.590	48
1 9 2	1.960	46
1 9 0	2.361	41
1 3 1	3.419	26
0 6 1	3.596	24
1 1 1	3.705	21
1 3 3	2.013	21
1 13 3	1.413	18
0 2 2	3.391	18
1 11 0	2.027	18

Structural model:
Unit cell a=4.423 b=25.091 c=7.044 alpha=90.00 beta=90.00 gamma=90.00
Space group Cmc2_1 (No. 36)
Inequivalent atoms, fractional coordinates:
Y 0.000 0.017 0.000
Y 0.000 0.326 0.990
Ga 0.000 0.104 0.662
Ga 0.000 0.206 0.779
Ga 0.000 0.207 0.187
Ga 0.000 0.382 0.515
Ga 0.000 0.450 0.823
Au 0.000 0.107 0.273
Au 0.000 0.277 0.482
Au 0.000 0.448 0.213

Diffraction record for Y3Ga2Au. The XRD peak list is simulated, not measured: it uses the GGA-PBE geometry in Alexandria and Cu Ka.
Intensities are scaled so that the largest is 100.

Top 12 peaks for 5° ≤ 2θ ≤ 70°, in order of falling intensity:
index	d [Å]	I (rel.)
3 1 2	2.608	100
0 1 3	2.859	50
0 2 0	2.234	41
4 1 1	2.402	37
1 0 1	8.102	37
2 1 4	2.196	32
4 1 3	2.051	25
2 0 1	5.210	22
1 0 2	5.043	21
3 0 5	1.940	20
2 1 0	3.557	18
5 0 1	2.308	17

Structural model:
Unit cell a=11.783 b=4.468 c=11.159 alpha=90.00 beta=90.00 gamma=90.00
Space group Pnma (No. 62)
Inequivalent atoms, fractional coordinates:
Y 0.048 0.250 0.128
Y 0.130 0.750 0.573
Y 0.213 0.250 0.815
Ga 0.012 0.750 0.312
Ga 0.183 0.750 0.021
Au 0.127 0.250 0.384

Diffraction record for Y2Ga5Au3. The XRD peak list is simulated, not measured: it uses the GGA-PBE geometry in Alexandria and Cu Ka.
Intensities are scaled so that the largest is 100.

Top 12 peaks for 5° ≤ 2θ ≤ 70°, in order of falling intensity:
index	d [Å]	I (rel.)
0 4 2	2.127	100
3 2 1	2.778	77
2 0 2	2.656	66
2 4 0	2.623	63
5 2 1	1.955	52
1 2 1	3.968	40
4 0 2	2.038	40
4 4 0	2.023	38
1 1 2	2.841	28
2 1 1	3.857	25
1 3 0	3.741	22
3 1 0	3.507	20

Structural model:
Unit cell a=11.007 b=11.935 c=6.065 alpha=90.00 beta=90.00 gamma=90.00
Space group Ibam (No. 72)
Inequivalent atoms, fractional coordinates:
Y 0.246 0.124 0.000
Ga 0.000 0.000 0.250
Ga 0.000 0.258 0.250
Ga 0.142 0.379 0.000
Au 0.000 0.500 0.250
Au 0.133 0.130 0.500

Diffraction record for Y3Ga4Au2. The XRD peak list is simulated, not measured: it uses the GGA-PBE geometry in Alexandria and Cu Ka.
Intensities are scaled so that the largest is 100.

Top 12 peaks for 5° ≤ 2θ ≤ 70°, in order of falling intensity:
index	d [Å]	I (rel.)
3 1 -3	2.244	100
4 0 -1	2.661	93
1 1 2	2.637	70
0 2 0	2.259	52
3 1 -1	2.795	30
2 0 1	3.604	29
0 0 3	2.617	28
5 1 -2	1.916	21
0 0 2	3.926	20
4 0 2	1.802	20
4 2 -1	1.723	19
2 0 -1	5.159	19

Structural model:
Unit cell a=10.680 b=4.519 c=8.495 alpha=90.00 beta=112.44 gamma=90.00
Space group C2/m (No. 12)
Inequivalent atoms, fractional coordinates:
Y 0.000 0.000 0.000
Y 0.173 0.500 0.656
Ga 0.027 0.000 0.365
Ga 0.241 0.500 0.075
Au 0.102 0.500 0.272

Diffraction record for YGaAu. The XRD peak list is simulated, not measured: it uses the GGA-PBE geometry in Alexandria and Cu Ka.
Intensities are scaled so that the largest is 100.

Top 12 peaks for 5° ≤ 2θ ≤ 70°, in order of falling intensity:
index	d [Å]	I (rel.)
3 1 -2	2.628	100
3 1 0	2.262	97
1 1 1	2.747	58
0 2 0	2.246	56
1 1 -1	3.807	46
0 0 2	2.672	38
2 0 -1	5.250	31
1 1 -2	2.651	30
2 0 -2	3.586	28
5 1 -2	1.902	27
4 0 -3	2.276	22
0 2 2	1.719	21

Structural model:
Unit cell a=10.544 b=4.493 c=7.173 alpha=90.00 beta=131.85 gamma=90.00
Space group C2/m (No. 12)
Inequivalent atoms, fractional coordinates:
Y 0.039 0.000 0.299
Ga 0.158 0.500 0.103
Au 0.176 0.500 0.716

Diffraction record for YGaAu4. The XRD peak list is simulated, not measured: it uses the GGA-PBE geometry in Alexandria and Cu Ka.
Intensities are scaled so that the largest is 100.

Top 9 peaks for 5° ≤ 2θ ≤ 70°, in order of falling intensity:
index	d [Å]	I (rel.)
3 1 1	2.380	100
2 2 2	2.279	71
1 1 1	4.557	50
5 1 1	1.519	33
4 4 0	1.395	33
4 0 0	1.973	22
3 3 1	1.811	14
2 2 0	2.791	8
4 2 2	1.611	3

Structural model:
Unit cell a=7.893 b=7.893 c=7.893 alpha=90.00 beta=90.00 gamma=90.00
Space group F-43m (No. 216)
Inequivalent atoms, fractional coordinates:
Y 0.000 0.000 0.000
Ga 0.250 0.250 0.750
Au 0.125 0.125 0.375

Diffraction record for Y2Ga2Au3. The XRD peak list is simulated, not measured: it uses the GGA-PBE geometry in Alexandria and Cu Ka.
Intensities are scaled so that the largest is 100.

Top 12 peaks for 5° ≤ 2θ ≤ 70°, in order of falling intensity:
index	d [Å]	I (rel.)
1 1 2	2.709	100
1 5 1	2.669	80
1 1 0	4.084	47
1 7 2	1.966	45
2 0 0	2.087	42
1 3 3	1.992	42
0 2 2	3.400	28
1 9 0	1.946	27
0 4 3	2.169	27
0 8 0	2.474	26
1 7 0	2.342	25
2 4 3	1.504	21

Structural model:
Unit cell a=4.174 b=19.788 c=7.240 alpha=90.00 beta=90.00 gamma=90.00
Space group Cmcm (No. 63)
Inequivalent atoms, fractional coordinates:
Y 0.000 0.055 0.250
Y 0.000 0.155 0.750
Ga 0.000 0.310 0.553
Au 0.000 0.224 0.250
Au 0.000 0.435 0.055

Diffraction record for ZnGaAu5. The XRD peak list is simulated, not measured: it uses the GGA-PBE geometry in Alexandria and Cu Ka.
Intensities are scaled so that the largest is 100.

Top 12 peaks for 5° ≤ 2θ ≤ 70°, in order of falling intensity:
index	d [Å]	I (rel.)
0 2 3	2.336	100
2 0 4	2.230	97
2 2 1	2.298	77
3 1 0	2.310	55
0 2 1	2.907	43
1 1 4	2.388	39
3 1 3	1.959	34
3 3 4	1.364	32
2 0 2	3.107	31
3 1 1	2.261	27
3 3 3	1.443	24
2 2 3	1.983	24

Structural model:
Unit cell a=7.503 b=6.026 c=11.094 alpha=90.00 beta=90.00 gamma=90.00
Space group Cmcm (No. 63)
Inequivalent atoms, fractional coordinates:
Zn 0.000 0.000 0.000
Ga 0.000 0.378 0.250
Au 0.000 0.038 0.750
Au 0.196 0.361 0.609

Diffraction record for ZnGaAu3. The XRD peak list is simulated, not measured: it uses the GGA-PBE geometry in Alexandria and Cu Ka.
Intensities are scaled so that the largest is 100.

Top 12 peaks for 5° ≤ 2θ ≤ 70°, in order of falling intensity:
index	d [Å]	I (rel.)
0 2 1	2.944	100
1 2 1	2.273	64
1 2 -2	2.235	64
1 0 2	2.096	35
2 2 -1	1.963	32
2 1 0	2.125	30
1 1 -2	2.708	27
1 3 -1	2.026	23
1 0 -1	4.375	21
1 1 0	3.745	20
2 0 -2	2.188	20
2 1 -1	2.262	19

Structural model:
Unit cell a=4.794 b=6.857 c=6.156 alpha=90.00 beta=111.17 gamma=90.00
Space group P2_1/m (No. 11)
Inequivalent atoms, fractional coordinates:
Zn 0.181 0.250 0.278
Ga 0.029 0.250 0.770
Au 0.309 0.536 0.623
Au 0.359 0.750 0.037

Diffraction record for ZnGa4Au. The XRD peak list is simulated, not measured: it uses the GGA-PBE geometry in Alexandria and Cu Ka.
Intensities are scaled so that the largest is 100.

Top 12 peaks for 5° ≤ 2θ ≤ 70°, in order of falling intensity:
index	d [Å]	I (rel.)
2 1 1	2.389	100
1 2 1	2.488	76
1 0 2	2.731	71
2 0 2	2.102	70
1 1 1	3.474	64
0 2 2	2.191	64
2 2 0	2.094	59
0 1 1	4.382	59
1 1 2	2.497	53
1 2 0	2.714	51
1 0 0	5.701	41
0 1 3	1.966	37

Structural model:
Unit cell a=5.701 b=6.173 c=6.221 alpha=90.00 beta=90.00 gamma=90.00
Space group P222 (No. 16)
Inequivalent atoms, fractional coordinates:
Zn 0.000 0.000 0.000
Zn 0.500 0.500 0.000
Ga 0.166 0.341 0.777
Ga 0.248 0.158 0.348
Au 0.500 0.000 0.000
Au 0.500 0.500 0.500

Diffraction record for Zn8GaAu6. The XRD peak list is simulated, not measured: it uses the GGA-PBE geometry in Alexandria and Cu Ka.
Intensities are scaled so that the largest is 100.

Top 12 peaks for 5° ≤ 2θ ≤ 70°, in order of falling intensity:
index	d [Å]	I (rel.)
2 -1 6	2.219	100
3 0 0	2.173	84
2 -1 3	3.105	50
1 1 0	3.765	38
2 2 6	1.553	32
0 0 3	5.494	24
3 0 3	2.021	11
2 2 3	1.781	11
5 -1 3	1.377	9
1 1 9	1.647	9
2 2 0	1.882	6
3 0 6	1.704	6

Structural model:
Unit cell a=7.5291 b=7.5291 c=16.4818 alpha=90.00 beta=90.00 gamma=120.00
Space group R-3 (No. 148, hexagonal axes)
Inequivalent atoms, fractional coordinates:
Zn 0.0000 0.0000 0.1672
Zn 0.0006 0.3372 0.3800
Ga 0.0000 0.0000 0.5000
Au 0.0003 0.3332 0.5560

Diffraction record for Zn5Ga2Au5. The XRD peak list is simulated, not measured: it uses the GGA-PBE geometry in Alexandria and Cu Ka.
Intensities are scaled so that the largest is 100.

Top 12 peaks for 5° ≤ 2θ ≤ 70°, in order of falling intensity:
index	d [Å]	I (rel.)
1 1 -1	2.298	100
2 -1 0	2.129	68
-1 1 4	2.459	67
1 -2 1	2.175	66
1 0 4	2.218	48
0 1 -5	2.192	46
1 -1 3	2.656	39
0 1 -2	3.479	32
0 0 2	6.173	27
1 0 -3	3.063	26
0 1 5	2.006	25
0 1 1	3.652	25

Structural model:
Unit cell a=4.303 b=4.423 c=12.531 alpha=91.42 beta=98.11 gamma=116.40
Space group P-1 (No. 2)
Inequivalent atoms, fractional coordinates:
Zn 0.000 0.000 0.000
Zn 0.206 0.386 0.578
Zn 0.239 0.653 0.848
Ga 0.385 0.849 0.275
Au 0.081 0.228 0.338
Au 0.379 0.672 0.072
Au 0.500 0.000 0.500

Diffraction record for Zn3GaAu2. The XRD peak list is simulated, not measured: it uses the GGA-PBE geometry in Alexandria and Cu Ka.
Intensities are scaled so that the largest is 100.

Top 12 peaks for 5° ≤ 2θ ≤ 70°, in order of falling intensity:
index	d [Å]	I (rel.)
0 2 3	2.066	100
1 1 2	2.337	93
0 2 1	3.690	83
1 3 1	2.088	74
1 1 1	2.854	68
1 0 2	2.427	53
1 3 0	2.186	49
0 4 0	2.165	48
1 1 0	3.122	47
0 0 2	3.526	44
1 1 3	1.878	34
2 0 0	1.673	33

Structural model:
Unit cell a=3.347 b=8.661 c=7.052 alpha=90.00 beta=90.00 gamma=90.00
Space group Pmc2_1 (No. 26)
Inequivalent atoms, fractional coordinates:
Zn 0.000 0.085 0.000
Zn 0.000 0.330 0.463
Zn 0.500 0.166 0.690
Ga 0.500 0.407 0.145
Au 0.000 0.378 0.842
Au 0.500 0.121 0.305